Starting from a GGA-PBE-relaxed structure, the powder X-ray diffraction pattern of SbMo2Pt was simulated for Cu Kα (weighted mean of Kα1 and Kα2).

Structural model:
Cell: 2.9095 4.1910 5.8072 Å, 90.00 99.90 90.00°
Fractional coordinates of all 4 atoms:
Sb: 0.0000 0.0000 0.0000
Mo: 0.4179 0.5000 0.2763
Mo: 0.5821 0.5000 0.7237
Pt: 0.0000 0.0000 0.5000

Top 10 peaks for 2θ = 15–90°, in order of falling intensity:
| Position (°2θ) | I_rel |
| --- | --- |
| 38.06 | 100.0 |
| 43.17 | 18.8 |
| 40.55 | 17.0 |
| 75.76 | 13.2 |
| 48.68 | 13.0 |
| 60.71 | 10.3 |
| 67.07 | 10.2 |
| 15.49 | 9.6 |
| 39.08 | 7.3 |
| 31.23 | 6.3 |



Starting from a GGA-PBE-relaxed structure, the powder X-ray diffraction pattern of SbMo2Pt was simulated for Cu Kα (weighted mean of Kα1 and Kα2).

Structural model:
Cell: 5.0462 5.0462 5.0462 Å, 133.04 133.04 68.59°
Fractional coordinates of all 4 atoms:
Sb: 0.0000 0.0000 0.0000
Mo: 0.2500 0.7500 0.5000
Mo: 0.7500 0.2500 0.5000
Pt: 0.5000 0.5000 0.0000

Top 10 peaks for 2θ = 15–90°, in order of falling intensity:
| Position (°2θ) | I_rel |
| --- | --- |
| 38.32 | 100.0 |
| 45.10 | 31.3 |
| 78.67 | 24.4 |
| 64.38 | 21.4 |
| 43.41 | 17.5 |
| 76.26 | 13.2 |
| 82.05 | 11.0 |
| 65.68 | 10.1 |
| 24.58 | 5.8 |
| 21.31 | 5.5 |